This entry pairs a crystal structure of LaTbNd2Bi4 with its simulated XRD peak list. Radiation: Cu Kα. Structure: a cell relaxed with PBE.

Largest 10 diffraction maxima, in order of rising 2θ, 2θ from 10° to 90°:
| Position (°2θ) | intensity | index |
| --- | --- | --- |
| 23.7 | 5 | 0 0 2 |
| 27.4 | 100 | 1 1 1 |
| 39.1 | 79 | 0 2 0 |
| 46.2 | 3 | 0 2 2 |
| 48.4 | 29 | 0 0 4 |
| 56.5 | 14 | 2 2 2 |
| 63.9 | 38 | 1 3 1 |
| 70.8 | 26 | 2 0 -6 |
| 84.0 | 5 | 0 4 0 |
| 84.1 | 4 | 4 0 4 |

```
LaTbNd2Bi4
1.0
7.972 0.000 0.000
0.000 4.611 0.000
-2.659 0.000 7.524
La Tb Nd Bi
1 1 2 4
Cartesian
0.000 0.000 0.000
3.986 2.305 0.000
-1.329 2.305 3.762
2.657 0.000 3.762
1.370 2.305 1.882
0.040 0.000 5.671
5.274 0.000 1.854
3.943 2.305 5.642
```



This entry pairs a crystal structure of Pm2Dy5Tm6 with its simulated XRD peak list. Radiation: Cu Kα. Structure: a cell relaxed with PBE.

Largest 10 diffraction maxima, in order of rising 2θ, 2θ from 10° to 90°:
| Position (°2θ) | intensity | index |
| --- | --- | --- |
| 27.7 | 28 | 1 6 0 |
| 31.2 | 59 | 4 1 0 |
| 31.8 | 46 | 1 4 1 |
| 32.1 | 98 | 1 7 0 |
| 32.5 | 100 | 2 3 1 |
| 34.6 | 40 | 2 4 1 |
| 35.5 | 26 | 3 6 0 |
| 36.9 | 31 | 3 3 1 |
| 57.3 | 35 | 6 4 1 |
| 62.0 | 35 | 1 7 2 |

```
Pm2Dy5Tm6
1.0
11.586 0.000 0.000
0.000 20.088 0.000
0.000 0.000 3.551
Pm Dy Tm
4 10 12
Cartesian
1.948 4.306 0.000
3.845 14.350 0.000
7.741 5.739 0.000
9.638 15.783 0.000
0.000 10.044 1.776
1.053 15.599 1.776
2.314 1.010 1.776
3.479 11.054 1.776
4.740 5.555 1.776
5.793 0.000 1.776
6.846 14.534 1.776
8.107 9.034 1.776
9.272 19.078 1.776
10.533 4.489 1.776
0.688 18.507 0.000
0.920 12.718 0.000
2.064 7.450 1.776
3.729 17.494 1.776
4.873 2.674 0.000
5.105 8.463 0.000
6.481 11.625 0.000
6.713 17.414 0.000
7.857 2.594 1.776
9.522 12.639 1.776
10.666 7.370 0.000
10.898 1.581 0.000
```



This entry pairs a crystal structure of Na2Al3As9O28 with its simulated XRD peak list. Radiation: Cu Kα. Structure: a cell relaxed with PBE.

Largest 10 diffraction maxima, in order of rising 2θ, 2θ from 10° to 90°:
| Position (°2θ) | intensity | index |
| --- | --- | --- |
| 11.1 | 32 | 0 1 0 |
| 16.8 | 39 | 1 1 -1 |
| 22.3 | 64 | 0 0 2 |
| 23.3 | 65 | 0 2 -2 |
| 25.6 | 48 | 1 2 -1 |
| 27.0 | 37 | 2 0 0 |
| 27.8 | 37 | 2 1 -2 |
| 28.2 | 100 | 2 -2 0 |
| 29.2 | 85 | 0 1 2 |
| 30.8 | 27 | 0 3 -2 |

```
Na2Al3As9O28
1.0
7.610 0.000 0.000
-1.680 8.943 0.000
-3.552 -4.068 8.001
Na Al As O
2 3 9 28
Cartesian
0.049 3.235 1.788
2.330 1.640 6.214
0.000 0.000 0.000
-1.572 1.433 6.041
3.950 3.442 1.961
-0.440 0.085 3.297
-1.786 4.343 4.513
-1.472 -1.511 7.427
0.823 6.931 0.736
2.029 -2.034 4.001
1.556 -2.056 7.266
3.850 6.386 0.575
4.164 0.532 3.488
2.818 4.790 4.704
-1.959 3.635 2.983
-3.131 5.466 4.796
-2.920 -2.387 7.424
-0.057 0.782 1.810
-2.785 1.591 7.602
-1.522 -0.407 6.159
0.055 8.370 0.384
0.301 -1.456 3.676
-1.681 3.300 5.823
-0.408 1.302 4.475
0.394 6.142 2.263
-0.297 5.273 4.613
-0.116 -2.615 7.071
2.331 3.240 0.967
0.047 1.635 7.034
2.494 7.490 0.931
2.675 -0.397 3.388
1.984 -1.267 5.738
2.786 3.573 3.527
4.059 1.575 2.179
2.077 6.331 4.325
2.324 -3.494 7.618
3.900 5.282 1.842
5.163 3.284 0.399
2.435 4.093 6.191
5.298 7.262 0.577
5.509 -0.591 3.206
4.337 1.240 5.019
```



This entry pairs a crystal structure of Ca3Au2 with its simulated XRD peak list. Radiation: Cu Kα. Structure: a cell relaxed with PBE.

Largest 10 diffraction maxima, in order of rising 2θ, 2θ from 10° to 90°:
| Position (°2θ) | intensity | index |
| --- | --- | --- |
| 15.7 | 26 | 1 1 0 |
| 20.7 | 36 | 0 0 1 |
| 24.9 | 39 | 2 1 0 |
| 32.6 | 100 | 2 1 1 |
| 35.5 | 28 | 3 1 0 |
| 41.4 | 19 | 3 1 1 |
| 46.0 | 16 | 3 2 1 |
| 49.5 | 13 | 2 1 2 |
| 56.2 | 15 | 3 1 2 |
| 66.6 | 17 | 5 2 1 |

```
Ca3Au2
1.0
8.001 0.000 0.000
0.000 8.001 0.000
0.000 0.000 4.294
Ca Au
6 4
Cartesian
0.000 0.000 0.000
1.284 2.716 2.147
2.716 6.717 2.147
4.001 4.001 0.000
5.285 1.284 2.147
6.717 5.285 2.147
1.080 5.080 0.000
2.921 1.080 0.000
5.080 6.922 0.000
6.922 2.921 0.000
```



This entry pairs a crystal structure of TaP7Pb with its simulated XRD peak list. Radiation: Cu Kα. Structure: a cell relaxed with PBE.

Largest 10 diffraction maxima, in order of rising 2θ, 2θ from 10° to 90°:
| Position (°2θ) | intensity | index |
| --- | --- | --- |
| 21.0 | 44 | 1 0 1 |
| 21.1 | 74 | 0 1 2 |
| 22.0 | 100 | 1 1 -1 |
| 22.8 | 83 | 0 2 0 |
| 23.9 | 38 | 1 1 1 |
| 30.2 | 41 | 1 0 -3 |
| 31.2 | 31 | 1 2 1 |
| 38.1 | 36 | 1 2 -3 |
| 39.0 | 48 | 0 3 2 |
| 40.0 | 31 | 2 1 -2 |

```
TaP7Pb
1.0
5.022 0.000 0.000
0.000 7.805 0.000
-1.349 0.000 10.017
Ta P Pb
2 14 2
Cartesian
-0.145 1.951 3.855
3.817 5.854 6.162
-0.389 1.951 6.431
0.579 1.951 1.333
-0.064 4.783 8.203
-0.064 6.924 8.203
0.709 4.398 3.641
0.709 7.309 3.641
1.266 5.854 5.321
2.406 1.951 4.696
2.963 0.496 6.375
2.963 3.407 6.375
3.736 0.881 1.814
3.736 3.022 1.814
3.094 5.854 8.684
4.061 5.854 3.586
2.200 5.854 1.509
1.472 1.951 8.508
```



This entry pairs a crystal structure of CsLi2InI6 with its simulated XRD peak list. Radiation: Cu Kα. Structure: a cell relaxed with PBE.

Largest 10 diffraction maxima, in order of rising 2θ, 2θ from 10° to 90°:
| Position (°2θ) | intensity | index |
| --- | --- | --- |
| 11.0 | 40 | 0 0 1 |
| 12.9 | 31 | 1 0 0 |
| 25.3 | 100 | 1 1 -2 |
| 25.7 | 51 | 0 2 0 |
| 25.9 | 75 | 2 0 0 |
| 27.1 | 58 | -1 1 2 |
| 28.4 | 44 | 1 0 2 |
| 28.7 | 76 | 2 -2 0 |
| 35.9 | 32 | 1 1 2 |
| 37.6 | 33 | 1 -3 2 |

```
CsLi2InI6
1.0
7.528 0.000 0.000
-2.577 7.281 0.000
-1.240 -2.544 8.014
Cs Li In I
1 2 1 6
Cartesian
0.000 0.000 0.000
3.173 0.030 4.435
2.631 3.984 2.590
-1.217 3.757 3.887
1.093 1.909 3.424
0.406 5.698 2.103
0.055 5.149 6.180
4.939 2.772 1.461
4.999 1.803 5.661
4.103 5.665 4.150
```